(1)
# CaLa2IrPd
Computed X-ray powder pattern, copper Kα. Input: the PBE geometry in Alexandria.

Most intense lines, 2θ = 10–90°, in order of falling intensity:
Position (°2θ)  I_rel  index
15.30  100  0 0 1
32.48  71  2 0 0
36.09  50  2 0 1
22.26  41  1 0 1
35.01  33  1 0 2
48.50  26  2 1 2
46.60  26  2 2 0
45.43  22  2 0 2
49.33  21  2 2 1
39.74  19  2 1 1

Cell and atoms:
a = 5.5130 Å, b = 5.5130 Å, c = 5.7906 Å
α = 90.00°, β = 90.00°, γ = 90.00°
Space group P4mm (No. 99)
Inequivalent atoms, fractional coordinates:
1 Ca 0.0000 0.0000 0.0000 (multiplicity 1)
2 La 0.0000 0.5000 0.4652 (multiplicity 2)
3 Ir 0.0000 0.0000 0.5085 (multiplicity 1)
4 Pd 0.5000 0.5000 0.2135 (multiplicity 1)

(2)
# LiCa2Ir
Computed X-ray powder pattern, copper Kα. Input: the PBE geometry in Alexandria.

Most intense lines, 2θ = 10–90°, in order of falling intensity:
Position (°2θ)  I_rel  index
31.12  100  1 1 1
16.59  74  0 0 2
39.39  59  1 1 3
20.59  47  1 0 0
23.08  43  0 1 1
33.21  42  0 1 3
26.56  28  1 0 2
39.68  26  1 0 4
54.47  20  2 1 3
33.55  18  0 0 4

Cell and atoms:
a = 4.3139 Å, b = 4.1312 Å, c = 10.6858 Å
α = 90.00°, β = 90.00°, γ = 90.00°
Space group Amm2 (No. 38)
Inequivalent atoms, fractional coordinates:
1 Li 0.0000 0.0000 0.0000 (multiplicity 2)
2 Ca 0.0000 0.0000 0.3063 (multiplicity 2)
3 Ca 0.5000 0.0000 0.5834 (multiplicity 2)
4 Ir 0.5000 0.0000 0.8778 (multiplicity 2)

(3)
# LiCaIr
Computed X-ray powder pattern, copper Kα. Input: the PBE geometry in Alexandria.

Most intense lines, 2θ = 10–90°, in order of falling intensity:
Position (°2θ)  I_rel  index
20.10  100  0 1 1
39.92  65  2 1 1
22.29  50  0 0 2
37.85  41  0 1 3
33.78  28  0 2 0
41.14  25  2 0 2
40.85  24  0 2 2
54.24  20  2 2 2
51.87  16  2 1 3
64.57  16  2 3 1

Cell and atoms:
a = 5.2555 Å, b = 5.3074 Å, c = 7.9760 Å
α = 90.00°, β = 90.00°, γ = 90.00°
Space group Imma (No. 74)
Inequivalent atoms, fractional coordinates:
1 Li 0.0000 0.0000 0.0000 (multiplicity 4)
2 Ca 0.0000 0.2500 0.3832 (multiplicity 4)
3 Ir 0.2500 0.2500 0.7500 (multiplicity 4)

(4)
# Li2CaIr
Computed X-ray powder pattern, copper Kα. Input: the PBE geometry in Alexandria.

Most intense lines, 2θ = 10–90°, in order of falling intensity:
Position (°2θ)  I_rel  index
12.31  100  0 0 1
29.65  47  1 0 1
36.87  42  1 0 2
40.44  23  1 1 1
38.36  20  1 1 0
26.87  19  1 0 0
46.76  17  1 0 3
68.39  14  2 1 2
24.77  11  0 0 2
64.07  11  2 1 1

Cell and atoms:
a = 3.3184 Å, b = 3.3184 Å, c = 7.1884 Å
α = 90.00°, β = 90.00°, γ = 90.00°
Space group P4mm (No. 99)
Inequivalent atoms, fractional coordinates:
1 Li 0.0000 0.0000 0.0000 (multiplicity 1)
2 Li 0.5000 0.5000 0.2073 (multiplicity 1)
3 Ca 0.0000 0.0000 0.6024 (multiplicity 1)
4 Ir 0.5000 0.5000 0.8427 (multiplicity 1)

(5)
# LiCaIr4
Computed X-ray powder pattern, copper Kα. Input: the PBE geometry in Alexandria.

Most intense lines, 2θ = 10–90°, in order of falling intensity:
Position (°2θ)  I_rel  index
20.63  100  1 1 1
40.11  80  3 1 1
41.98  79  2 2 2
48.86  34  4 0 0
86.61  31  6 2 2
71.60  28  4 4 0
65.00  26  5 1 1
53.58  25  3 3 1
75.43  18  5 3 1
85.38  9  5 3 3

Cell and atoms:
a = 7.4555 Å, b = 7.4555 Å, c = 7.4555 Å
α = 90.00°, β = 90.00°, γ = 90.00°
Space group F-43m (No. 216)
Inequivalent atoms, fractional coordinates:
1 Li 0.0000 0.0000 0.0000 (multiplicity 4)
2 Ca 0.2500 0.2500 0.7500 (multiplicity 4)
3 Ir 0.1252 0.1252 0.3748 (multiplicity 16)

(6)
# LiCa2IrN2
Computed X-ray powder pattern, copper Kα. Input: the PBE geometry in Alexandria.

Most intense lines, 2θ = 10–90°, in order of falling intensity:
Position (°2θ)  I_rel  index
18.27  100  1 1 0
34.88  80  1 2 1
25.38  62  0 1 1
39.90  25  2 1 1
35.03  21  1 3 0
37.03  21  2 2 0
27.66  19  1 0 1
52.17  19  3 0 1
42.39  18  0 4 0
50.47  16  2 3 1

Cell and atoms:
a = 5.9066 Å, b = 8.5291 Å, c = 3.8503 Å
α = 90.00°, β = 90.00°, γ = 90.00°
Space group Pnnm (No. 58)
Inequivalent atoms, fractional coordinates:
1 Li 0.0000 0.0000 0.0000 (multiplicity 2)
2 Ca 0.1320 0.2538 0.5000 (multiplicity 4)
3 Ir 0.0000 0.5000 0.0000 (multiplicity 2)
4 N 0.2045 0.9011 0.5000 (multiplicity 4)

(7)
# LiCa2Zn6Ir
Computed X-ray powder pattern, copper Kα. Input: the PBE geometry in Alexandria.

Most intense lines, 2θ = 10–90°, in order of falling intensity:
Position (°2θ)  I_rel  index
17.13  100  1 -1 0
40.94  24  1 2 -1
40.41  22  0 1 2
42.63  19  2 1 -1
34.66  19  2 -2 0
42.24  18  2 0 -3
41.87  17  1 1 -3
31.60  15  1 -2 1
32.45  13  2 -1 0
45.44  12  1 0 2

Cell and atoms:
a = 6.2402 Å, b = 6.4943 Å, c = 6.7276 Å
α = 93.76°, β = 117.12°, γ = 115.95°
Space group P-1 (No. 2)
Inequivalent atoms, fractional coordinates:
1 Li 0.0000 0.0000 0.0000 (multiplicity 1)
2 Ca 0.3582 0.3194 0.6708 (multiplicity 2)
3 Zn 0.0957 0.6615 0.9024 (multiplicity 2)
4 Zn 0.2121 0.8148 0.3317 (multiplicity 2)
5 Zn 0.4711 0.8898 0.7972 (multiplicity 2)
6 Ir 0.0000 0.5000 0.5000 (multiplicity 1)

(8)
# Ca3Mg7Ir4
Computed X-ray powder pattern, copper Kα. Input: the PBE geometry in Alexandria.

Most intense lines, 2θ = 10–90°, in order of falling intensity:
Position (°2θ)  I_rel  index
25.74  100  1 1 1
21.13  91  0 0 2
22.61  77  4 0 -1
34.61  73  5 1 -2
40.83  59  3 1 -4
27.22  59  4 0 -3
41.57  48  0 2 0
42.16  48  1 1 3
40.11  45  5 1 0
22.20  45  1 1 -1

Cell and atoms:
a = 16.1692 Å, b = 4.3450 Å, c = 10.3499 Å
α = 90.00°, β = 125.66°, γ = 90.00°
Space group C2/m (No. 12)
Inequivalent atoms, fractional coordinates:
1 Ca 0.0000 0.0000 0.0000 (multiplicity 2)
2 Ca 0.1934 0.5000 0.7108 (multiplicity 4)
3 Mg 0.0000 0.0000 0.5000 (multiplicity 2)
4 Mg 0.0122 0.5000 0.2760 (multiplicity 4)
5 Mg 0.1698 0.0000 0.4200 (multiplicity 4)
6 Mg 0.1866 0.5000 0.0189 (multiplicity 4)
7 Ir 0.1032 0.0000 0.8126 (multiplicity 4)
8 Ir 0.1713 0.5000 0.2674 (multiplicity 4)

(9)
# CaMnIr
Computed X-ray powder pattern, copper Kα. Input: the PBE geometry in Alexandria.

Most intense lines, 2θ = 10–90°, in order of falling intensity:
Position (°2θ)  I_rel  index
32.82  100  1 0 2
26.57  81  1 0 1
42.51  74  1 1 0
21.88  69  0 0 2
48.31  52  1 1 2
63.32  44  1 1 4
41.38  26  1 0 3
24.16  25  1 0 0
54.73  22  2 0 2
44.62  21  0 0 4

Cell and atoms:
a = 4.2531 Å, b = 4.2531 Å, c = 8.1238 Å
α = 90.00°, β = 90.00°, γ = 120.00°
Space group P6_3/mmc (No. 194)
Inequivalent atoms, fractional coordinates:
1 Ca 0.0000 0.0000 0.0000 (multiplicity 2)
2 Mn 0.3333 0.6667 0.2500 (multiplicity 2)
3 Ir 0.3333 0.6667 0.7500 (multiplicity 2)